Diffraction record for Sm5Si3O13. The powder diffraction line list is simulated, not measured: it uses a structure optimized by DFT (PBE) and a wavelength of 1.5418 Å.
Kinematic intensities with the Lorentz-polarization factor, no thermal factor.

Top 10 peaks for 2θ from 15° to 90°, sorted by position:
- 2θ 21.35, d = 4.162 Å, intensity 35, (2 0 0)
- 2θ 27.66, d = 3.225 Å, intensity 45, (1 0 2)
- 2θ 28.37, d = 3.146 Å, intensity 43, (2 1 0)
- 2θ 31.17, d = 2.870 Å, intensity 100, (2 1 1)
- 2θ 31.64, d = 2.828 Å, intensity 64, (1 1 2)
- 2θ 32.26, d = 2.775 Å, intensity 34, (3 0 0)
- 2θ 45.81, d = 1.981 Å, intensity 36, (2 2 2)
- 2θ 48.60, d = 1.874 Å, intensity 32, (2 1 3)
- 2θ 50.22, d = 1.817 Å, intensity 29, (1 4 0)
- 2θ 51.07, d = 1.789 Å, intensity 32, (4 0 2)

Crystal structure
Lattice parameters (Å, degrees): 9.6126 9.6126 6.9959 90.00 90.00 120.00
Space group P6_3/m (No. 176)
One atom of each set of equivalent atoms:
1 Sm 0.0068 0.2390 0.2500 (multiplicity 6)
2 Sm 0.3333 0.6667 0.0021 (multiplicity 4)
3 Si 0.0278 0.3977 0.7500 (multiplicity 6)
4 O 0.0000 0.0000 0.2500 (multiplicity 2)
5 O 0.0921 0.3411 0.5635 (multiplicity 12)
6 O 0.1229 0.5957 0.7500 (multiplicity 6)
7 O 0.1681 0.6851 0.2500 (multiplicity 6)

Diffraction record for GdTmFe2Ni8. The powder diffraction line list is simulated, not measured: it uses a structure optimized by DFT (PBE) and a wavelength of 1.5418 Å.
Kinematic intensities with the Lorentz-polarization factor, no thermal factor.

Top 10 peaks for 2θ from 15° to 90°, sorted by position:
- 2θ 30.95, d = 2.889 Å, intensity 56, (1 0 2)
- 2θ 36.54, d = 2.459 Å, intensity 32, (0 2 0)
- 2θ 42.45, d = 2.130 Å, intensity 38, (0 2 2)
- 2θ 43.40, d = 2.085 Å, intensity 100, (1 2 0)
- 2θ 46.17, d = 1.966 Å, intensity 26, (2 0 0)
- 2θ 60.27, d = 1.536 Å, intensity 15, (2 2 0)
- 2θ 62.33, d = 1.490 Å, intensity 15, (1 1 5)
- 2θ 64.51, d = 1.445 Å, intensity 21, (2 2 2)
- 2θ 70.52, d = 1.335 Å, intensity 22, (1 3 3)
- 2θ 77.66, d = 1.230 Å, intensity 15, (0 4 0)

Crystal structure
Lattice parameters (Å, degrees): 3.932 4.919 8.517 90.00 90.00 90.00
Space group Pmm2 (No. 25)
One atom of each set of equivalent atoms:
1 Gd 0.000 0.000 0.000 (multiplicity 1)
2 Tm 0.000 0.500 0.500 (multiplicity 1)
3 Fe 0.000 0.000 0.335 (multiplicity 1)
4 Fe 0.000 0.500 0.832 (multiplicity 1)
5 Ni 0.000 0.000 0.665 (multiplicity 1)
6 Ni 0.000 0.500 0.168 (multiplicity 1)
7 Ni 0.500 0.000 0.500 (multiplicity 1)
8 Ni 0.500 0.251 0.747 (multiplicity 2)
9 Ni 0.500 0.253 0.253 (multiplicity 2)
10 Ni 0.500 0.500 0.000 (multiplicity 1)

Diffraction record for NaO. The powder diffraction line list is simulated, not measured: it uses a structure optimized by DFT (PBE) and a wavelength of 1.5418 Å.
Kinematic intensities with the Lorentz-polarization factor, no thermal factor.

Top 6 peaks for 2θ from 15° to 90°, sorted by position:
- 2θ 30.98, d = 2.887 Å, intensity 5, (1 0 0)
- 2θ 44.38, d = 2.041 Å, intensity 100, (1 1 0)
- 2θ 55.11, d = 1.667 Å, intensity 2, (1 1 1)
- 2θ 64.57, d = 1.443 Å, intensity 13, (2 0 0)
- 2θ 73.34, d = 1.291 Å, intensity 3, (2 1 0)
- 2θ 81.72, d = 1.178 Å, intensity 22, (2 1 1)

Crystal structure
Lattice parameters (Å, degrees): 2.887 2.887 2.887 90.00 90.00 90.00
Space group Pm-3m (No. 221)
One atom of each set of equivalent atoms:
1 Na 0.000 0.000 0.000 (multiplicity 1)
2 O 0.500 0.500 0.500 (multiplicity 1)

Diffraction record for KMg6Nb. The powder diffraction line list is simulated, not measured: it uses a structure optimized by DFT (PBE) and a wavelength of 1.5418 Å.
Kinematic intensities with the Lorentz-polarization factor, no thermal factor.

Top 10 peaks for 2θ from 15° to 90°, sorted by position:
- 2θ 15.66, d = 5.657 Å, intensity 31, (0 1 1)
- 2θ 15.77, d = 5.619 Å, intensity 15, (0 0 2)
- 2θ 23.43, d = 3.797 Å, intensity 41, (1 1 1)
- 2θ 31.63, d = 2.829 Å, intensity 25, (0 2 2)
- 2θ 34.98, d = 2.565 Å, intensity 36, (2 0 0)
- 2θ 36.27, d = 2.477 Å, intensity 100, (1 2 2)
- 2θ 36.46, d = 2.464 Å, intensity 46, (1 0 4)
- 2θ 56.61, d = 1.626 Å, intensity 16, (0 2 6)
- 2θ 63.57, d = 1.464 Å, intensity 18, (3 2 2)
- 2θ 68.30, d = 1.373 Å, intensity 18, (2 2 6)

Crystal structure
Lattice parameters (Å, degrees): 5.131 6.547 11.238 90.00 90.00 90.00
Space group Amm2 (No. 38)
One atom of each set of equivalent atoms:
1 K 0.000 0.000 0.000 (multiplicity 2)
2 Mg 0.000 0.000 0.506 (multiplicity 2)
3 Mg 0.000 0.229 0.741 (multiplicity 4)
4 Mg 0.500 0.000 0.179 (multiplicity 2)
5 Mg 0.500 0.239 0.415 (multiplicity 4)
6 Nb 0.500 0.000 0.666 (multiplicity 2)

Diffraction record for Y5SbPd2. The powder diffraction line list is simulated, not measured: it uses a structure optimized by DFT (PBE) and a wavelength of 1.5418 Å.
Kinematic intensities with the Lorentz-polarization factor, no thermal factor.

Top 10 peaks for 2θ from 15° to 90°, sorted by position:
- 2θ 20.66, d = 4.298 Å, intensity 9, (1 1 2)
- 2θ 30.62, d = 2.920 Å, intensity 16, (1 1 4)
- 2θ 32.28, d = 2.773 Å, intensity 100, (2 1 3)
- 2θ 32.57, d = 2.749 Å, intensity 10, (2 2 0)
- 2θ 34.79, d = 2.579 Å, intensity 23, (2 0 4)
- 2θ 36.54, d = 2.459 Å, intensity 58, (3 1 0)
- 2θ 41.81, d = 2.160 Å, intensity 14, (2 1 5)
- 2θ 52.64, d = 1.739 Å, intensity 8, (4 2 0)
- 2θ 66.23, d = 1.411 Å, intensity 14, (3 1 8)
- 2θ 68.06, d = 1.378 Å, intensity 16, (5 2 3)

Crystal structure
Lattice parameters (Å, degrees): 7.776 7.776 13.785 90.00 90.00 90.00
Space group I4/mcm (No. 140)
One atom of each set of equivalent atoms:
1 Y 0.000 0.000 0.000 (multiplicity 4)
2 Y 0.156 0.344 0.143 (multiplicity 16)
3 Sb 0.000 0.000 0.250 (multiplicity 4)
4 Pd 0.136 0.364 0.500 (multiplicity 8)

Diffraction record for Y3Mg. The powder diffraction line list is simulated, not measured: it uses a structure optimized by DFT (PBE) and a wavelength of 1.5418 Å.
Kinematic intensities with the Lorentz-polarization factor, no thermal factor.

Top 10 peaks for 2θ from 15° to 90°, sorted by position:
- 2θ 19.62, d = 4.525 Å, intensity 11, (1 1 1)
- 2θ 22.69, d = 3.919 Å, intensity 6, (2 0 0)
- 2θ 32.31, d = 2.771 Å, intensity 100, (2 2 0)
- 2θ 38.08, d = 2.363 Å, intensity 6, (3 1 1)
- 2θ 46.34, d = 1.959 Å, intensity 18, (4 0 0)
- 2θ 50.78, d = 1.798 Å, intensity 3, (3 3 1)
- 2θ 57.62, d = 1.600 Å, intensity 36, (4 2 2)
- 2θ 67.62, d = 1.385 Å, intensity 11, (4 4 0)
- 2θ 76.94, d = 1.239 Å, intensity 15, (6 2 0)
- 2θ 85.92, d = 1.131 Å, intensity 4, (4 4 4)

Crystal structure
Lattice parameters (Å, degrees): 7.837 7.837 7.837 90.00 90.00 90.00
Space group Fm-3m (No. 225)
One atom of each set of equivalent atoms:
1 Y 0.000 0.000 0.000 (multiplicity 4)
2 Y 0.250 0.250 0.250 (multiplicity 8)
3 Mg 0.000 0.000 0.500 (multiplicity 4)